Structure and computed powder XRD pattern of Li2YInO4 (a PBE-relaxed structure; a wavelength of 1.5418 Å).
Neutral-atom scattering factors, no anomalous dispersion.

Peak list (10 most intense, 2θ from 5° to 70°, by angle)
2theta, d/Å, I/Imax
16.53, 5.363, 100
16.89, 5.249, 56
33.05, 2.711, 19
33.42, 2.682, 30
34.16, 2.624, 29
38.40, 2.344, 36
38.60, 2.332, 35
40.62, 2.221, 30
57.13, 1.612, 20
57.28, 1.608, 20

Crystal structure
```
16
Lattice="4.667 -4.442 0.000 4.667 4.442 0.000 -4.510 0.000 4.689" Properties=species:S:1:pos:R:3 pbc="T T T"
Li 0.000 0.000 0.000
Li -2.255 0.000 2.344
Li 2.334 2.221 0.000
Li 0.078 -2.221 2.344
Y 0.078 2.221 2.344
Y 2.334 -2.221 0.000
In 4.667 0.000 0.000
In 2.412 0.000 2.344
O 0.213 2.243 4.620
O 2.356 2.243 2.413
O 2.432 0.055 0.106
O 0.177 -0.055 2.450
O 4.647 0.055 2.238
O 2.392 -0.055 4.583
O 2.468 -2.243 2.275
O 4.611 -2.243 0.069
```

Structure and computed powder XRD pattern of LiScInOs (a PBE-relaxed structure; a wavelength of 1.5418 Å).
Neutral-atom scattering factors, no anomalous dispersion.

Peak list (7 most intense, 2θ from 5° to 70°, by angle)
2theta, d/Å, I/Imax
23.62, 3.767, 74
27.34, 3.262, 1
39.05, 2.307, 100
46.15, 1.967, 38
56.41, 1.631, 17
62.00, 1.497, 16
63.80, 1.459, 1

Crystal structure
```
4
Lattice="0.000 3.262 3.262 3.262 0.000 3.262 3.262 3.262 0.000" Properties=species:S:1:pos:R:3 pbc="T T T"
Li 0.000 0.000 0.000
Sc 4.893 4.893 4.893
In 1.631 1.631 1.631
Os 3.262 3.262 3.262
```

Structure and computed powder XRD pattern of Li4InPb3 (a PBE-relaxed structure; a wavelength of 1.5418 Å).
Neutral-atom scattering factors, no anomalous dispersion.

Peak list (10 most intense, 2θ from 5° to 70°, by angle)
2theta, d/Å, I/Imax
25.18, 3.536, 100
25.56, 3.485, 47
35.91, 2.501, 46
36.19, 2.482, 88
44.60, 2.032, 44
51.70, 1.768, 16
58.35, 1.582, 20
58.53, 1.577, 20
59.10, 1.563, 18
64.73, 1.440, 33

Crystal structure
```
8
Lattice="3.536 0.000 0.000 0.000 3.536 0.000 0.000 0.000 13.942" Properties=species:S:1:pos:R:3 pbc="T T T"
Li 0.000 0.000 1.644
Li 0.000 0.000 5.173
Li 0.000 0.000 8.768
Li 0.000 0.000 12.297
In 1.768 1.768 0.000
Pb 1.768 1.768 3.385
Pb 1.768 1.768 6.971
Pb 1.768 1.768 10.556
```

Structure and computed powder XRD pattern of LiIn3Pb4 (a PBE-relaxed structure; a wavelength of 1.5418 Å).
Neutral-atom scattering factors, no anomalous dispersion.

Peak list (10 most intense, 2θ from 5° to 70°, by angle)
2theta, d/Å, I/Imax
6.58, 13.428, 31
29.51, 3.027, 100
31.83, 2.812, 71
34.79, 2.579, 27
35.16, 2.552, 21
35.46, 2.531, 17
36.49, 2.462, 39
51.29, 1.781, 16
62.75, 1.481, 21
65.15, 1.432, 17

Crystal structure
```
8
Lattice="13.508 -2.462 0.000 13.508 2.462 0.000 -0.371 0.000 3.405" Properties=species:S:1:pos:R:3 pbc="T T T"
Li 0.000 0.000 0.000
In 9.196 0.000 2.930
In 13.322 0.000 1.702
In 17.449 0.000 0.475
Pb 2.248 0.000 1.970
Pb 5.665 0.000 2.457
Pb 20.980 0.000 0.948
Pb 24.397 0.000 1.435
```

Structure and computed powder XRD pattern of LiInPb (a PBE-relaxed structure; a wavelength of 1.5418 Å).
Neutral-atom scattering factors, no anomalous dispersion.

Peak list (10 most intense, 2θ from 5° to 70°, by angle)
2theta, d/Å, I/Imax
18.52, 4.790, 16
26.31, 3.387, 100
26.89, 3.315, 47
37.55, 2.395, 42
37.98, 2.369, 82
46.79, 1.941, 43
61.18, 1.515, 19
61.48, 1.508, 19
62.37, 1.489, 18
68.05, 1.378, 30

Crystal structure
```
6
Lattice="3.315 -4.794 0.000 3.315 4.794 0.000 0.000 0.000 4.787" Properties=species:S:1:pos:R:3 pbc="T T T"
Li 1.658 0.000 0.000
Li 4.973 0.000 0.000
In 0.000 0.000 2.394
In 3.315 0.000 2.394
Pb 3.315 2.397 4.777
Pb 3.315 -2.397 0.010
```

Structure and computed powder XRD pattern of LiIn7Pb4 (a PBE-relaxed structure; a wavelength of 1.5418 Å).
Neutral-atom scattering factors, no anomalous dispersion.

Peak list (10 most intense, 2θ from 5° to 70°, by angle)
2theta, d/Å, I/Imax
31.58, 2.833, 100
31.95, 2.801, 92
32.36, 2.766, 91
33.09, 2.707, 90
36.38, 2.470, 68
36.64, 2.453, 67
39.16, 2.300, 51
51.28, 1.782, 24
53.84, 1.703, 41
62.38, 1.489, 38

Crystal structure
```
12
Lattice="5.904 0.000 0.000 -2.137 6.356 0.000 -0.973 -1.358 8.923" Properties=species:S:1:pos:R:3 pbc="T T T"
Li 0.000 0.000 0.000
In -1.069 3.178 0.000
In -2.028 4.836 2.798
In 1.816 0.823 4.606
In 0.824 5.550 1.369
In 1.969 -0.552 7.554
In 0.977 4.176 4.317
In 4.821 0.162 6.125
Pb -1.944 3.465 5.895
Pb 1.771 2.325 1.494
Pb 1.023 2.673 7.429
Pb 4.737 1.534 3.028
```

Structure and computed powder XRD pattern of Li4In3Pb2 (a PBE-relaxed structure; a wavelength of 1.5418 Å).
Neutral-atom scattering factors, no anomalous dispersion.

Peak list (10 most intense, 2θ from 5° to 70°, by angle)
2theta, d/Å, I/Imax
20.95, 4.241, 25
22.94, 3.877, 90
28.05, 3.181, 37
28.14, 3.171, 63
35.21, 2.549, 100
36.70, 2.448, 94
46.87, 1.938, 23
51.82, 1.764, 22
61.48, 1.508, 17
65.16, 1.432, 22

Crystal structure
```
9
Lattice="4.244 -2.447 0.000 4.244 2.447 0.000 -0.023 0.000 9.567" Properties=species:S:1:pos:R:3 pbc="T T T"
Li 0.000 0.000 3.132
Li 2.836 0.000 1.114
Li 5.630 0.000 8.453
Li 8.466 0.000 6.435
In 0.000 0.000 0.000
In 2.821 0.000 4.164
In 5.644 0.000 5.403
Pb 2.803 0.000 7.614
Pb 5.663 0.000 1.953
```

Structure and computed powder XRD pattern of Li6InPb (a PBE-relaxed structure; a wavelength of 1.5418 Å).
Neutral-atom scattering factors, no anomalous dispersion.

Peak list (10 most intense, 2θ from 5° to 70°, by angle)
2theta, d/Å, I/Imax
17.00, 5.217, 50
25.07, 3.552, 100
29.66, 3.012, 43
34.38, 2.609, 11
37.07, 2.425, 10
39.22, 2.297, 40
41.04, 2.199, 11
48.17, 1.889, 23
49.90, 1.828, 22
49.98, 1.825, 10

Crystal structure
```
8
Lattice="4.850 0.000 0.000 0.000 3.017 5.209 0.000 -3.017 5.209" Properties=species:S:1:pos:R:3 pbc="T T T"
Li 0.000 0.000 0.000
Li 0.000 -1.452 7.894
Li 0.000 1.452 7.894
Li 2.425 0.000 3.547
Li 2.425 -1.468 6.100
Li 2.425 1.468 6.100
In 0.000 0.000 5.251
Pb 2.425 0.000 8.734
```

Structure and computed powder XRD pattern of Li4InPb (a PBE-relaxed structure; a wavelength of 1.5418 Å).
Neutral-atom scattering factors, no anomalous dispersion.

Peak list (10 most intense, 2θ from 5° to 70°, by angle)
2theta, d/Å, I/Imax
10.78, 8.208, 20
21.65, 4.104, 49
21.81, 4.075, 100
28.46, 3.136, 27
36.11, 2.487, 92
38.07, 2.364, 27
48.21, 1.888, 23
48.43, 1.879, 16
53.64, 1.709, 19
63.56, 1.464, 16

Crystal structure
```
6
Lattice="3.136 0.000 0.000 0.000 4.695 0.000 0.000 0.000 8.208" Properties=species:S:1:pos:R:3 pbc="T T T"
Li 0.000 0.000 0.000
Li 3.135 2.347 3.801
Li 0.004 2.347 6.679
Li 1.562 0.000 2.625
In 1.569 0.000 5.465
Pb 1.571 2.347 1.070
```

Structure and computed powder XRD pattern of LiInPb4 (a PBE-relaxed structure; a wavelength of 1.5418 Å).
Neutral-atom scattering factors, no anomalous dispersion.

Peak list (10 most intense, 2θ from 5° to 70°, by angle)
2theta, d/Å, I/Imax
20.05, 4.429, 31
20.39, 4.356, 19
21.25, 4.182, 31
27.47, 3.247, 32
32.67, 2.741, 100
33.59, 2.668, 46
34.49, 2.601, 46
34.77, 2.580, 89
48.91, 1.862, 32
58.12, 1.587, 18

Crystal structure
```
6
Lattice="4.460 -2.601 0.000 4.460 2.601 0.000 -2.708 0.000 7.967" Properties=species:S:1:pos:R:3 pbc="T T T"
Li 0.000 0.000 0.000
In 3.105 0.000 3.984
Pb 0.146 0.000 5.153
Pb 2.975 0.000 0.720
Pb 3.236 0.000 7.248
Pb 6.065 0.000 2.814
```

Structure and computed powder XRD pattern of LiInPb (a PBE-relaxed structure; a wavelength of 1.5418 Å).
Neutral-atom scattering factors, no anomalous dispersion.

Peak list (10 most intense, 2θ from 5° to 70°, by angle)
2theta, d/Å, I/Imax
19.70, 4.507, 64
19.88, 4.466, 81
23.36, 3.808, 72
25.03, 3.558, 56
32.06, 2.792, 57
32.46, 2.758, 100
33.60, 2.667, 72
35.65, 2.519, 75
36.80, 2.442, 92
38.86, 2.317, 48

Crystal structure
```
6
Lattice="5.556 0.000 0.000 2.683 4.943 0.000 2.574 -0.378 5.517" Properties=species:S:1:pos:R:3 pbc="T T T"
Li 0.000 0.000 0.000
Li 4.158 2.508 2.775
In 5.295 1.313 5.416
In 6.960 4.163 2.819
Pb 5.502 3.302 0.057
Pb 7.043 0.804 2.726
```

Structure and computed powder XRD pattern of LiIn4Pb8 (a PBE-relaxed structure; a wavelength of 1.5418 Å).
Neutral-atom scattering factors, no anomalous dispersion.

Peak list (10 most intense, 2θ from 5° to 70°, by angle)
2theta, d/Å, I/Imax
22.71, 3.916, 38
23.95, 3.716, 34
25.07, 3.552, 30
33.24, 2.696, 100
34.08, 2.631, 94
34.73, 2.583, 45
35.15, 2.553, 43
46.38, 1.958, 20
59.22, 1.560, 19
59.50, 1.554, 19

Crystal structure
```
13
Lattice="7.105 0.000 0.000 0.000 7.831 0.000 -0.085 0.000 7.432" Properties=species:S:1:pos:R:3 pbc="T T T"
Li 0.000 0.000 0.000
In -0.043 0.000 3.716
In 0.000 3.916 0.000
In 3.553 0.000 0.000
In 3.510 3.916 3.716
Pb 1.764 1.952 1.873
Pb 1.718 1.977 5.567
Pb 1.718 5.854 5.567
Pb 1.764 5.880 1.873
Pb 5.255 1.952 5.559
Pb 5.301 1.977 1.865
Pb 5.301 5.854 1.865
Pb 5.255 5.880 5.559
```

Structure and computed powder XRD pattern of LiIn3Pb6 (a PBE-relaxed structure; a wavelength of 1.5418 Å).
Neutral-atom scattering factors, no anomalous dispersion.

Peak list (10 most intense, 2θ from 5° to 70°, by angle)
2theta, d/Å, I/Imax
25.43, 3.502, 32
29.26, 3.052, 100
30.54, 2.927, 33
32.06, 2.792, 96
32.95, 2.718, 49
34.46, 2.603, 39
34.75, 2.582, 29
36.61, 2.455, 28
37.75, 2.383, 52
62.59, 1.484, 28

Crystal structure
```
20
Lattice="10.335 0.000 0.000 0.000 11.921 0.000 0.000 0.000 4.766" Properties=species:S:1:pos:R:3 pbc="T T T"
Li 0.000 0.000 0.000
Li 5.168 5.960 2.383
In 0.000 5.960 0.000
In 1.493 4.134 2.383
In 3.675 10.094 0.000
In 5.168 0.000 2.383
In 6.660 1.826 0.000
In 8.843 7.787 2.383
Pb 0.439 9.147 0.000
Pb 1.678 11.379 2.383
Pb 2.303 7.694 2.383
Pb 2.864 1.733 0.000
Pb 3.490 5.419 0.000
Pb 4.728 3.186 2.383
Pb 5.607 8.735 2.383
Pb 6.845 6.502 0.000
Pb 7.471 10.188 0.000
Pb 8.032 4.227 2.383
Pb 8.657 0.541 2.383
Pb 9.896 2.774 0.000
```

Structure and computed powder XRD pattern of LiInPb (a PBE-relaxed structure; a wavelength of 1.5418 Å).
Neutral-atom scattering factors, no anomalous dispersion.

Peak list (10 most intense, 2θ from 5° to 70°, by angle)
2theta, d/Å, I/Imax
19.54, 4.542, 43
21.88, 4.062, 55
27.42, 3.252, 100
31.69, 2.823, 54
32.39, 2.764, 68
33.94, 2.641, 52
35.99, 2.496, 84
37.16, 2.420, 53
39.17, 2.300, 62
47.89, 1.899, 44

Crystal structure
```
6
Lattice="4.883 0.000 0.000 0.000 3.477 0.000 -1.255 0.000 9.200" Properties=species:S:1:pos:R:3 pbc="T T T"
Li 0.000 0.000 0.000
Li -0.117 1.738 2.777
In 1.275 0.000 5.044
In 1.202 1.738 8.489
Pb 2.361 0.000 2.006
Pb 3.675 1.738 6.431
```